No. 1
Calculated PXRD pattern of Ba3Ir for copper Kα, from a structure optimized by DFT (PBE).
Peak positions follow from Bragg's law for the DFT cell and can differ from measured ones.

Peak list (10 most intense, 15° ≤ 2θ ≤ 90°, by angle)
15.3 deg, I = 861
23.2 deg, I = 1000
28.1 deg, I = 727
30.7 deg, I = 597
32.0 deg, I = 938
36.7 deg, I = 612
38.0 deg, I = 245
39.6 deg, I = 290
43.1 deg, I = 852
49.2 deg, I = 309

Cell and atoms:
a = 7.7731 Å, b = 7.7731 Å, c = 4.5572 Å
α = 90.00°, β = 90.00°, γ = 131.77°
Positions (direct):
Ba (0.0000, 0.0000, 0.0000)
Ba (0.3561, 0.6439, 0.5000)
Ba (0.6439, 0.3561, 0.5000)
Ir (0.5000, 0.5000, 0.0000)

***

No. 2
Calculated PXRD pattern of BaIr2 for copper Kα, from a structure optimized by DFT (PBE).
Peak positions follow from Bragg's law for the DFT cell and can differ from measured ones.

Peak list (10 most intense, 15° ≤ 2θ ≤ 90°, by angle)
17.7 deg, I = 346
30.0 deg, I = 1000
35.8 deg, I = 265
42.3 deg, I = 498
46.2 deg, I = 185
52.8 deg, I = 207
56.6 deg, I = 428
60.8 deg, I = 136
69.9 deg, I = 181
88.4 deg, I = 129

Cell and atoms:
a = 4.2685 Å, b = 4.2685 Å, c = 5.0196 Å
α = 90.00°, β = 90.00°, γ = 120.00°
Positions (direct):
Ba (0.0000, 0.0000, 0.0000)
Ir (0.3333, 0.6667, 0.5000)
Ir (0.6667, 0.3333, 0.5000)

***

No. 3
Calculated PXRD pattern of Ba3Ir for copper Kα, from a structure optimized by DFT (PBE).
Peak positions follow from Bragg's law for the DFT cell and can differ from measured ones.

Peak list (10 most intense, 15° ≤ 2θ ≤ 90°, by angle)
25.6 deg, I = 1000
26.7 deg, I = 177
32.7 deg, I = 689
35.3 deg, I = 254
39.9 deg, I = 419
42.2 deg, I = 259
42.4 deg, I = 224
48.0 deg, I = 147
52.5 deg, I = 170
63.6 deg, I = 213

Cell and atoms:
a = 7.8253 Å, b = 7.8253 Å, c = 7.6770 Å
α = 90.00°, β = 90.00°, γ = 120.00°
Positions (direct):
Ba (0.0000, 0.3068, 0.2500)
Ba (0.0000, 0.6932, 0.7500)
Ba (0.3068, 0.0000, 0.2500)
Ba (0.3068, 0.3068, 0.7500)
Ba (0.6932, 0.0000, 0.7500)
Ba (0.6932, 0.6932, 0.2500)
Ir (0.0000, 0.0000, 0.0000)
Ir (0.0000, 0.0000, 0.5000)

***

No. 4
Calculated PXRD pattern of BaIr2 for copper Kα, from a structure optimized by DFT (PBE).
Peak positions follow from Bragg's law for the DFT cell and can differ from measured ones.

Peak list (10 most intense, 15° ≤ 2θ ≤ 90°, by angle)
20.1 deg, I = 550
29.3 deg, I = 266
29.7 deg, I = 1000
37.2 deg, I = 554
37.3 deg, I = 574
39.2 deg, I = 355
41.2 deg, I = 306
45.0 deg, I = 510
45.8 deg, I = 294
53.7 deg, I = 391

Cell and atoms:
a = 6.6143 Å, b = 6.6143 Å, c = 6.6143 Å
α = 137.27°, β = 132.06°, γ = 66.15°
Positions (direct):
Ba (0.3839, 0.1339, 0.2500)
Ba (0.6161, 0.8661, 0.7500)
Ir (0.0000, 0.5000, 0.5000)
Ir (0.0531, 0.3031, 0.7500)
Ir (0.5000, 0.5000, 0.0000)
Ir (0.9469, 0.6969, 0.2500)

***

No. 5
Calculated PXRD pattern of K2Ba6Ir for copper Kα, from a structure optimized by DFT (PBE).
Peak positions follow from Bragg's law for the DFT cell and can differ from measured ones.

Peak list (10 most intense, 15° ≤ 2θ ≤ 90°, by angle)
22.7 deg, I = 374
23.5 deg, I = 1000
24.4 deg, I = 277
27.8 deg, I = 454
30.1 deg, I = 880
30.5 deg, I = 302
35.5 deg, I = 537
40.7 deg, I = 546
47.1 deg, I = 280
63.4 deg, I = 289

Cell and atoms:
a = 9.3589 Å, b = 9.3589 Å, c = 9.3589 Å
α = 56.54°, β = 56.54°, γ = 56.54°
Positions (direct):
K (0.0000, 0.0000, 0.0000)
K (0.1675, 0.1675, 0.1675)
Ba (0.0225, 0.4973, 0.4973)
Ba (0.1910, 0.6647, 0.6647)
Ba (0.4973, 0.0225, 0.4973)
Ba (0.4973, 0.4973, 0.0225)
Ba (0.6647, 0.1910, 0.6647)
Ba (0.6647, 0.6647, 0.1910)
Ir (0.4224, 0.4224, 0.4224)

***

No. 6
Calculated PXRD pattern of K3Ba4Ir for copper Kα, from a structure optimized by DFT (PBE).
Peak positions follow from Bragg's law for the DFT cell and can differ from measured ones.

Peak list (10 most intense, 15° ≤ 2θ ≤ 90°, by angle)
22.0 deg, I = 211
23.8 deg, I = 461
24.0 deg, I = 460
27.5 deg, I = 1000
28.2 deg, I = 511
30.9 deg, I = 242
34.7 deg, I = 231
39.4 deg, I = 194
39.7 deg, I = 681
49.1 deg, I = 182

Cell and atoms:
a = 25.3659 Å, b = 9.1481 Å, c = 9.2323 Å
α = 90.00°, β = 90.00°, γ = 90.00°
Positions (direct):
K (0.0059, 0.2500, 0.0095)
K (0.1312, 0.5042, 0.2557)
K (0.1312, 0.9958, 0.2557)
K (0.3688, 0.0042, 0.7557)
K (0.3688, 0.4958, 0.7557)
K (0.4941, 0.7500, 0.5095)
K (0.5059, 0.2500, 0.4905)
K (0.6312, 0.5042, 0.2443)
K (0.6312, 0.9958, 0.2443)
K (0.8688, 0.0042, 0.7443)
K (0.8688, 0.4958, 0.7443)
K (0.9941, 0.7500, 0.9905)
Ba (0.0116, 0.7500, 0.4896)
Ba (0.1294, 0.5089, 0.7361)
Ba (0.1294, 0.9911, 0.7361)
Ba (0.2441, 0.7500, 0.4942)
Ba (0.2559, 0.2500, 0.9942)
Ba (0.3706, 0.0089, 0.2361)
Ba (0.3706, 0.4911, 0.2361)
Ba (0.4884, 0.2500, 0.9896)
Ba (0.5116, 0.7500, 0.0104)
Ba (0.6294, 0.5089, 0.7639)
Ba (0.6294, 0.9911, 0.7639)
Ba (0.7441, 0.7500, 0.0058)
Ba (0.7559, 0.2500, 0.5058)
Ba (0.8706, 0.0089, 0.2639)
Ba (0.8706, 0.4911, 0.2639)
Ba (0.9884, 0.2500, 0.5104)
Ir (0.1294, 0.7500, 0.5312)
Ir (0.3706, 0.2500, 0.0312)
Ir (0.6294, 0.7500, 0.9688)
Ir (0.8706, 0.2500, 0.4688)

***

No. 7
Calculated PXRD pattern of KBa14Ir for copper Kα, from a structure optimized by DFT (PBE).
Peak positions follow from Bragg's law for the DFT cell and can differ from measured ones.

Peak list (10 most intense, 15° ≤ 2θ ≤ 90°, by angle)
21.5 deg, I = 115
25.1 deg, I = 1000
25.2 deg, I = 130
25.4 deg, I = 86
29.6 deg, I = 113
30.2 deg, I = 122
32.1 deg, I = 90
33.4 deg, I = 132
44.1 deg, I = 140
44.2 deg, I = 87

Cell and atoms:
a = 12.0764 Å, b = 9.0426 Å, c = 9.0426 Å
α = 76.15°, β = 90.00°, γ = 90.00°
Positions (direct):
K (0.0000, 0.0000, 0.0000)
Ba (0.0000, 0.0001, 0.4826)
Ba (0.0000, 0.4826, 0.0001)
Ba (0.1828, 0.3262, 0.6847)
Ba (0.1828, 0.6847, 0.3262)
Ba (0.2149, 0.7651, 0.7651)
Ba (0.2671, 0.2208, 0.2208)
Ba (0.5000, 0.4604, 0.4604)
Ba (0.5000, 0.5007, 0.9387)
Ba (0.5000, 0.9387, 0.5007)
Ba (0.5000, 0.9844, 0.9844)
Ba (0.7329, 0.2208, 0.2208)
Ba (0.7851, 0.7651, 0.7651)
Ba (0.8172, 0.3262, 0.6847)
Ba (0.8172, 0.6847, 0.3262)
Ir (0.0000, 0.6306, 0.6306)

***

No. 8
Calculated PXRD pattern of KBa6Ir for copper Kα, from a structure optimized by DFT (PBE).
Peak positions follow from Bragg's law for the DFT cell and can differ from measured ones.

Peak list (10 most intense, 15° ≤ 2θ ≤ 90°, by angle)
23.8 deg, I = 253
25.4 deg, I = 1000
25.5 deg, I = 466
32.9 deg, I = 343
33.0 deg, I = 210
39.3 deg, I = 147
39.5 deg, I = 301
42.8 deg, I = 334
47.5 deg, I = 157
64.3 deg, I = 157

Cell and atoms:
a = 8.7792 Å, b = 8.7792 Å, c = 15.6365 Å
α = 100.25°, β = 100.25°, γ = 53.43°
Positions (direct):
K (0.0898, 0.9102, 0.7500)
K (0.9102, 0.0898, 0.2500)
Ba (0.0827, 0.2133, 0.5358)
Ba (0.2000, 0.3702, 0.8328)
Ba (0.2133, 0.0827, 0.0358)
Ba (0.3269, 0.5083, 0.1034)
Ba (0.3702, 0.2000, 0.3328)
Ba (0.4917, 0.6731, 0.3966)
Ba (0.5083, 0.3269, 0.6034)
Ba (0.6298, 0.8000, 0.6672)
Ba (0.6731, 0.4917, 0.8966)
Ba (0.7867, 0.9173, 0.9642)
Ba (0.8000, 0.6298, 0.1672)
Ba (0.9173, 0.7867, 0.4642)
Ir (0.0000, 0.5000, 0.0000)
Ir (0.5000, 0.0000, 0.5000)

***

- Which formula does entry 1 have?
  Ba3Ir

***

Repeat the sixth record exactly.
Calculated PXRD pattern of K3Ba4Ir for copper Kα, from a structure optimized by DFT (PBE).
Peak positions follow from Bragg's law for the DFT cell and can differ from measured ones.

Peak list (10 most intense, 15° ≤ 2θ ≤ 90°, by angle)
22.0 deg, I = 211
23.8 deg, I = 461
24.0 deg, I = 460
27.5 deg, I = 1000
28.2 deg, I = 511
30.9 deg, I = 242
34.7 deg, I = 231
39.4 deg, I = 194
39.7 deg, I = 681
49.1 deg, I = 182

Cell and atoms:
a = 25.3659 Å, b = 9.1481 Å, c = 9.2323 Å
α = 90.00°, β = 90.00°, γ = 90.00°
Positions (direct):
K (0.0059, 0.2500, 0.0095)
K (0.1312, 0.5042, 0.2557)
K (0.1312, 0.9958, 0.2557)
K (0.3688, 0.0042, 0.7557)
K (0.3688, 0.4958, 0.7557)
K (0.4941, 0.7500, 0.5095)
K (0.5059, 0.2500, 0.4905)
K (0.6312, 0.5042, 0.2443)
K (0.6312, 0.9958, 0.2443)
K (0.8688, 0.0042, 0.7443)
K (0.8688, 0.4958, 0.7443)
K (0.9941, 0.7500, 0.9905)
Ba (0.0116, 0.7500, 0.4896)
Ba (0.1294, 0.5089, 0.7361)
Ba (0.1294, 0.9911, 0.7361)
Ba (0.2441, 0.7500, 0.4942)
Ba (0.2559, 0.2500, 0.9942)
Ba (0.3706, 0.0089, 0.2361)
Ba (0.3706, 0.4911, 0.2361)
Ba (0.4884, 0.2500, 0.9896)
Ba (0.5116, 0.7500, 0.0104)
Ba (0.6294, 0.5089, 0.7639)
Ba (0.6294, 0.9911, 0.7639)
Ba (0.7441, 0.7500, 0.0058)
Ba (0.7559, 0.2500, 0.5058)
Ba (0.8706, 0.0089, 0.2639)
Ba (0.8706, 0.4911, 0.2639)
Ba (0.9884, 0.2500, 0.5104)
Ir (0.1294, 0.7500, 0.5312)
Ir (0.3706, 0.2500, 0.0312)
Ir (0.6294, 0.7500, 0.9688)
Ir (0.8706, 0.2500, 0.4688)